(1)
For Hg8Bi, the GGA-PBE geometry in Alexandria gives the simulated powder diffractogram in this record (Cu Kα (weighted mean of Kα1 and Kα2)).
Lines closer than 0.1° are merged.

Atomic structure:
```
data_Hg8Bi
_space_group_name_H-M_alt 'P -1'
_space_group_IT_number 2
_cell_length_a 5.5209
_cell_length_b 6.9877
_cell_length_c 7.1310
_cell_angle_alpha 107.99
_cell_angle_beta 95.68
_cell_angle_gamma 94.82
loop_
_space_group_symop_operation_xyz
'x,y,z'
'-x,-y,-z'
loop_
_atom_site_label
_atom_site_type_symbol
_atom_site_fract_x
_atom_site_fract_y
_atom_site_fract_z
_atom_site_occupancy
Hg1 Hg 0.0067 0.3437 0.1575 1
Hg2 Hg 0.3322 0.0013 0.1608 1
Hg3 Hg 0.3326 0.6613 0.5092 1
Hg4 Hg 0.3500 0.3362 0.8310 1
Bi1 Bi 0.0000 0.0000 0.5000 1
```

Largest 8 diffraction maxima, in order of rising 2θ, 2θ = 5–70°:
2θ 29.22, I 100, (1 1 1); 2θ 29.43, I 96, (1 1 -2); 2θ 29.98, I 93, (1 -2 1); 2θ 36.63, I 55, (-2 1 1); 2θ 40.24, I 42, (0 0 3); 2θ 41.04, I 40, (0 3 0); 2θ 43.63, I 67, (2 -1 2); 2θ 44.75, I 32, (-1 2 2)



(2)
For Ac6La3Ho2, the GGA-PBE geometry in Alexandria gives the simulated powder diffractogram in this record (Cu Kα (weighted mean of Kα1 and Kα2)).
Lines closer than 0.1° are merged.

Atomic structure:
```
data_Ac6La3Ho2
_space_group_name_H-M_alt 'P -1'
_space_group_IT_number 2
_cell_length_a 6.6710
_cell_length_b 8.5769
_cell_length_c 8.5908
_cell_angle_alpha 107.26
_cell_angle_beta 104.91
_cell_angle_gamma 97.45
loop_
_space_group_symop_operation_xyz
'x,y,z'
'-x,-y,-z'
loop_
_atom_site_label
_atom_site_type_symbol
_atom_site_fract_x
_atom_site_fract_y
_atom_site_fract_z
_atom_site_occupancy
Ac1 Ac 0.0531 0.4020 0.1808 1
Ac2 Ac 0.1354 0.2293 0.5492 1
Ac3 Ac 0.3222 0.8690 0.2649 1
La1 La 0.4066 0.6843 0.6431 1
La2 La 0.5000 0.5000 0.0000 1
Ho1 Ho 0.2312 0.0446 0.9130 1
```

Largest 8 diffraction maxima, in order of rising 2θ, 2θ = 5–70°:
2θ 28.41, I 100, (0 2 1); 2θ 28.50, I 33, (1 2 -2); 2θ 32.91, I 46, (2 1 0); 2θ 33.01, I 23, (1 -3 1); 2θ 47.23, I 34, (1 1 3); 2θ 47.37, I 17, (1 4 -1); 2θ 56.01, I 25, (2 3 1); 2θ 56.14, I 30, (3 3 -2)



(3)
For NdTlSe2O6, the GGA-PBE geometry in Alexandria gives the simulated powder diffractogram in this record (Cu Kα (weighted mean of Kα1 and Kα2)).
Lines closer than 0.1° are merged.

Atomic structure:
```
data_NdTlSe2O6
_space_group_name_H-M_alt 'C 1 2/c 1'
_space_group_IT_number 15
_cell_length_a 8.8344
_cell_length_b 10.7891
_cell_length_c 7.9466
_cell_angle_alpha 90.00
_cell_angle_beta 109.30
_cell_angle_gamma 90.00
loop_
_space_group_symop_operation_xyz
'x,y,z'
'-x,-y,-z'
'-x,y,-z+1/2'
'x,-y,z+1/2'
'x+1/2,y+1/2,z'
'-x+1/2,-y+1/2,-z'
'-x+1/2,y+1/2,-z+1/2'
'x+1/2,-y+1/2,z+1/2'
loop_
_atom_site_label
_atom_site_type_symbol
_atom_site_fract_x
_atom_site_fract_y
_atom_site_fract_z
_atom_site_occupancy
Nd1 Nd 0.0000 0.0540 0.2500 1
Tl1 Tl 0.0000 0.3384 0.7500 1
Se1 Se 0.2069 0.3759 0.2992 1
O1 O 0.0893 0.1094 0.5691 1
O2 O 0.1881 0.2208 0.2490 1
O3 O 0.2296 0.4470 0.1154 1
```

Largest 8 diffraction maxima, in order of rising 2θ, 2θ = 5–70°:
2θ 20.12, I 17, (1 1 1); 2θ 23.73, I 93, (0 0 2); 2θ 26.52, I 100, (2 2 -1); 2θ 27.00, I 46, (1 3 0); 2θ 31.52, I 20, (3 1 -1); 2θ 32.38, I 56, (2 2 1); 2θ 33.74, I 49, (1 3 -2); 2θ 46.06, I 31, (2 0 -4)



(4)
For Y5Ho5Er, the GGA-PBE geometry in Alexandria gives the simulated powder diffractogram in this record (Cu Kα (weighted mean of Kα1 and Kα2)).
Lines closer than 0.1° are merged.

Atomic structure:
```
data_Y5Ho5Er
_space_group_name_H-M_alt 'P -1'
_space_group_IT_number 2
_cell_length_a 6.8287
_cell_length_b 6.8288
_cell_length_c 8.5743
_cell_angle_alpha 75.02
_cell_angle_beta 75.04
_cell_angle_gamma 70.21
loop_
_space_group_symop_operation_xyz
'x,y,z'
'-x,-y,-z'
loop_
_atom_site_label
_atom_site_type_symbol
_atom_site_fract_x
_atom_site_fract_y
_atom_site_fract_z
_atom_site_occupancy
Y1 Y 0.0000 0.0000 0.0000 1
Y2 Y 0.1466 0.1453 0.3632 1
Y3 Y 0.3182 0.3151 0.6340 1
Ho1 Ho 0.0000 0.5000 0.0000 1
Ho2 Ho 0.2262 0.6485 0.2724 1
Ho3 Ho 0.3515 0.7717 0.7290 1
Er1 Er 0.5000 0.0000 0.0000 1
```

Largest 8 diffraction maxima, in order of rising 2θ, 2θ = 5–70°:
2θ 22.68, I 28, (1 -1 0); 2θ 31.67, I 29, (1 1 -2); 2θ 32.03, I 84, (2 2 1); 2θ 32.30, I 97, (2 0 -1); 2θ 32.48, I 100, (2 0 2); 2θ 33.03, I 29, (0 0 3); 2θ 50.54, I 21, (-1 1 4); 2θ 57.16, I 21, (4 2 0)



(5)
For HoHgTe2, the GGA-PBE geometry in Alexandria gives the simulated powder diffractogram in this record (Cu Kα (weighted mean of Kα1 and Kα2)).
Lines closer than 0.1° are merged.

Atomic structure:
```
data_HoHgTe2
_space_group_name_H-M_alt 'P 32 2 1'
_space_group_IT_number 154
_cell_length_a 4.4673
_cell_length_b 4.4673
_cell_length_c 27.7345
_cell_angle_alpha 90.00
_cell_angle_beta 90.00
_cell_angle_gamma 120.00
loop_
_space_group_symop_operation_xyz
'x,y,z'
'-y,x-y,z+2/3'
'-x+y,-x,z+1/3'
'y,x,-z'
'x-y,-y,-z+1/3'
'-x,-x+y,-z+2/3'
loop_
_atom_site_label
_atom_site_type_symbol
_atom_site_fract_x
_atom_site_fract_y
_atom_site_fract_z
_atom_site_occupancy
Ho1 Ho 0.0000 0.6711 0.3333 1
Hg1 Hg 0.0000 0.6639 0.8333 1
Te1 Te 0.0044 0.6669 0.7264 1
```

Largest 8 diffraction maxima, in order of rising 2θ, 2θ = 5–70°:
2θ 23.21, I 33, (1 0 1); 2θ 23.88, I 100, (0 1 2); 2θ 34.75, I 58, (0 1 8); 2θ 40.00, I 52, (1 0 10); 2θ 40.38, I 54, (1 1 0); 2θ 47.46, I 16, (2 0 2); 2θ 54.31, I 16, (2 0 8); 2θ 58.14, I 17, (0 2 10)



(6)
For Mg2Ti2Pd3, the GGA-PBE geometry in Alexandria gives the simulated powder diffractogram in this record (Cu Kα (weighted mean of Kα1 and Kα2)).
Lines closer than 0.1° are merged.

Atomic structure:
```
data_Mg2Ti2Pd3
_space_group_name_H-M_alt 'C m m m'
_space_group_IT_number 65
_space_group_name_Hall '-C 2 2'
_cell_length_a 2.9413
_cell_length_b 26.5300
_cell_length_c 2.9368
_cell_angle_alpha 90.00
_cell_angle_beta 90.00
_cell_angle_gamma 90.00
loop_
_atom_site_label
_atom_site_type_symbol
_atom_site_fract_x
_atom_site_fract_y
_atom_site_fract_z
_atom_site_occupancy
Mg1 Mg 0.0000 0.0680 0.0000 1
Ti1 Ti 0.0000 0.2066 0.0000 1
Pd1 Pd 0.0000 0.3616 0.5000 1
Pd2 Pd 0.0000 0.5000 0.5000 1
```

Largest 8 diffraction maxima, in order of rising 2θ, 2θ = 5–70°:
2θ 20.08, I 40, (0 6 0); 2θ 30.58, I 28, (1 1 0); 2θ 36.74, I 34, (0 6 1); 2θ 38.75, I 100, (1 7 0); 2θ 41.05, I 58, (0 8 1); 2θ 43.69, I 68, (1 1 1); 2θ 48.01, I 23, (0 14 0); 2θ 69.83, I 29, (1 15 1)



Please write out number 4 again, unchanged.
For Y5Ho5Er, the GGA-PBE geometry in Alexandria gives the simulated powder diffractogram in this record (Cu Kα (weighted mean of Kα1 and Kα2)).
Lines closer than 0.1° are merged.

Atomic structure:
```
data_Y5Ho5Er
_space_group_name_H-M_alt 'P -1'
_space_group_IT_number 2
_cell_length_a 6.8287
_cell_length_b 6.8288
_cell_length_c 8.5743
_cell_angle_alpha 75.02
_cell_angle_beta 75.04
_cell_angle_gamma 70.21
loop_
_space_group_symop_operation_xyz
'x,y,z'
'-x,-y,-z'
loop_
_atom_site_label
_atom_site_type_symbol
_atom_site_fract_x
_atom_site_fract_y
_atom_site_fract_z
_atom_site_occupancy
Y1 Y 0.0000 0.0000 0.0000 1
Y2 Y 0.1466 0.1453 0.3632 1
Y3 Y 0.3182 0.3151 0.6340 1
Ho1 Ho 0.0000 0.5000 0.0000 1
Ho2 Ho 0.2262 0.6485 0.2724 1
Ho3 Ho 0.3515 0.7717 0.7290 1
Er1 Er 0.5000 0.0000 0.0000 1
```

Largest 8 diffraction maxima, in order of rising 2θ, 2θ = 5–70°:
2θ 22.68, I 28, (1 -1 0); 2θ 31.67, I 29, (1 1 -2); 2θ 32.03, I 84, (2 2 1); 2θ 32.30, I 97, (2 0 -1); 2θ 32.48, I 100, (2 0 2); 2θ 33.03, I 29, (0 0 3); 2θ 50.54, I 21, (-1 1 4); 2θ 57.16, I 21, (4 2 0)